Diffraction record for Co2TcO4. The powder X-ray diffraction pattern is calculated, not measured: it uses a crystal structure in Alexandria, relaxed with GGA+U and Cu Ka.
No peak broadening, texture or thermal motion is included.

```
data_Co2TcO4
_chemical_formula_sum 'Co8 Tc4 O16'
_cell_length_a 5.733
_cell_length_b 6.193
_cell_length_c 8.891
_cell_angle_alpha 90.00
_cell_angle_beta 90.00
_cell_angle_gamma 90.00
_symmetry_space_group_name_H-M 'I m m a'
_symmetry_Int_Tables_number 74
_symmetry_space_group_name_Hall '-I 2b 2'
loop_
_atom_site_label
_atom_site_fract_x
_atom_site_fract_y
_atom_site_fract_z
Co1 0.000 0.000 0.000
Co2 0.000 0.250 0.380
Tc1 0.250 0.250 0.750
O1 0.000 0.008 0.753
O2 0.239 0.250 0.978
```

The 10 most intense peaks (2θ from 10° to 80°), low angle first:
- hkl 0 1 1, 17.5 deg, d 5.082, I 62
- hkl 1 1 2, 29.2 deg, d 3.056, I 33
- hkl 0 1 3, 33.5 deg, d 2.673, I 53
- hkl 1 0 3, 34.1 deg, d 2.633, I 28
- hkl 1 2 1, 34.4 deg, d 2.605, I 60
- hkl 2 1 1, 36.0 deg, d 2.497, I 100
- hkl 2 0 2, 37.3 deg, d 2.409, I 22
- hkl 2 2 0, 43.0 deg, d 2.104, I 37
- hkl 2 3 1, 55.8 deg, d 1.646, I 29
- hkl 2 2 4, 60.6 deg, d 1.528, I 72